Structure and theoretical powder diffraction line list of Li2Pr2NdPb2 (DFT lattice parameters and positions (GGA-PBE); Cu Kα, 1.54184 Å).
Neutral-atom scattering factors, no anomalous dispersion.

Structure:
```
data_Li2Pr2NdPb2
_chemical_formula_sum 'Li6 Pr6 Nd3 Pb6'
_symmetry_space_group_name_H-M 'R -3 m'
_symmetry_Int_Tables_number 166
_symmetry_space_group_name_Hall '-R 3 2"'
_cell_length_a 4.9118
_cell_length_b 4.9118
_cell_length_c 28.2404
_cell_angle_alpha 90.00
_cell_angle_beta 90.00
_cell_angle_gamma 120.00
loop_
_atom_site_label
_atom_site_type_symbol
_atom_site_fract_x
_atom_site_fract_y
_atom_site_fract_z
_atom_site_occupancy
Li1 Li 0.0000 0.0000 0.0983 1
Pr1 Pr 0.0000 0.0000 0.3707 1
Nd1 Nd 0.0000 0.0000 0.5000 1
Pb1 Pb 0.0000 0.0000 0.2346 1
```

Principal peaks in the range 5° ≤ 2θ ≤ 70°, sorted by position:
- (1 0 1), 2θ 21.1, intensity 48
- (0 1 2), 2θ 21.8, intensity 36
- (1 0 4), 2θ 24.4, intensity 21
- (0 1 5), 2θ 26.2, intensity 14
- (1 0 7), 2θ 30.5, intensity 92
- (0 1 8), 2θ 33.0, intensity 94
- (1 1 0), 2θ 36.6, intensity 100
- (0 0 15), 2θ 48.4, intensity 40
- (2 0 8), 2θ 50.1, intensity 31
- (1 1 15), 2θ 62.1, intensity 66
- (1 2 8), 2θ 63.6, intensity 29
- (3 0 0), 2θ 65.9, intensity 18